Starting from a structure optimized by DFT (GGA-PBE), the powder diffraction line list of TeW2SeS2 was simulated for λ = 1.5418 Å (Cu Kα).
Kinematic intensities with the Lorentz-polarization factor, no thermal factor.

Largest 6 diffraction maxima, in order of falling intensity, 10 to 80 degrees two-theta:
d_spacing  Position (°2θ)  I (rel.)  hkl
7.534  11.75  100  0 0 5
2.447  36.74  70  1 0 8
2.037  44.48  36  0 1 13
2.862  31.25  31  1 0 0
6.278  14.11  24  0 0 6
1.653  55.60  22  1 1 0

Structural model:
```
data_TeW2SeS2
_chemical_formula_sum 'Te2 W4 Se2 S4'
_cell_length_a 3.3064
_cell_length_b 3.3064
_cell_length_c 37.6675
_cell_angle_alpha 90.00
_cell_angle_beta 90.00
_cell_angle_gamma 120.00
_space_group_name_H-M_alt 'P 3 m 1'
_space_group_IT_number 156
loop_
_space_group_symop_operation_xyz
'x,y,z'
'-y,x-y,z'
'-x+y,-x,z'
'-y,-x,z'
'-x+y,y,z'
'x,x-y,z'
loop_
_atom_site_label
_atom_site_type_symbol
_atom_site_fract_x
_atom_site_fract_y
_atom_site_fract_z
Te1 Te 0.0000 0.0000 0.0000
Te2 Te 0.0000 0.0000 0.1021
W1 W 0.0000 0.0000 0.4874
W2 W 0.0000 0.0000 0.8631
W3 W 0.3333 0.6667 0.0510
W4 W 0.3333 0.6667 0.6753
Se1 Se 0.0000 0.0000 0.6305
Se2 Se 0.0000 0.0000 0.7200
S1 S 0.3333 0.6667 0.4467
S2 S 0.3333 0.6667 0.5281
S3 S 0.3333 0.6667 0.8224
S4 S 0.3333 0.6667 0.9038
```



Starting from a structure optimized by DFT (GGA-PBE), the powder diffraction line list of TeW2Se2S was simulated for λ = 1.5418 Å (Cu Kα).
Kinematic intensities with the Lorentz-polarization factor, no thermal factor.

Largest 6 diffraction maxima, in order of falling intensity, 10 to 80 degrees two-theta:
d_spacing  Position (°2θ)  I (rel.)  hkl
8.215  10.77  100  0 0 5
2.522  35.60  47  1 0 8
2.135  42.34  39  0 1 13
2.893  30.90  26  1 0 0
1.671  54.94  19  1 1 0
6.846  12.93  18  0 0 6

Structural model:
```
data_TeW2Se2S
_chemical_formula_sum 'Te2 W4 Se4 S2'
_cell_length_a 3.3434
_cell_length_b 3.3434
_cell_length_c 41.0758
_cell_angle_alpha 90.00
_cell_angle_beta 90.00
_cell_angle_gamma 120.00
_space_group_name_H-M_alt 'P 3 m 1'
_space_group_IT_number 156
loop_
_space_group_symop_operation_xyz
'x,y,z'
'-y,x-y,z'
'-x+y,-x,z'
'-y,-x,z'
'-x+y,y,z'
'x,x-y,z'
loop_
_atom_site_label
_atom_site_type_symbol
_atom_site_fract_x
_atom_site_fract_y
_atom_site_fract_z
Te1 Te 0.0000 0.0000 0.0000
Te2 Te 0.0000 0.0000 0.0929
W1 W 0.0000 0.0000 0.2359
W2 W 0.0000 0.0000 0.8572
W3 W 0.6667 0.3333 0.0464
W4 W 0.6667 0.3333 0.6705
Se1 Se 0.6667 0.3333 0.1952
Se2 Se 0.6667 0.3333 0.2766
Se3 Se 0.6667 0.3333 0.8165
Se4 Se 0.6667 0.3333 0.8980
S1 S 0.0000 0.0000 0.6334
S2 S 0.0000 0.0000 0.7076
```



Starting from a structure optimized by DFT (GGA-PBE), the powder diffraction line list of TeW2SeS2 was simulated for λ = 1.5418 Å (Cu Kα).
Kinematic intensities with the Lorentz-polarization factor, no thermal factor.

Largest 6 diffraction maxima, in order of falling intensity, 10 to 80 degrees two-theta:
d_spacing  Position (°2θ)  I (rel.)  hkl
7.816  11.32  100  0 0 5
2.470  36.37  57  1 0 8
2.073  43.66  36  0 1 13
2.861  31.26  29  1 0 0
1.653  55.60  20  1 1 0
6.513  13.60  19  0 0 6

Structural model:
```
data_TeW2SeS2
_chemical_formula_sum 'Te2 W4 Se2 S4'
_cell_length_a 3.3065
_cell_length_b 3.3065
_cell_length_c 39.0775
_cell_angle_alpha 90.00
_cell_angle_beta 90.00
_cell_angle_gamma 120.00
_space_group_name_H-M_alt 'P 3 m 1'
_space_group_IT_number 156
loop_
_space_group_symop_operation_xyz
'x,y,z'
'-y,x-y,z'
'-x+y,-x,z'
'-y,-x,z'
'-x+y,y,z'
'x,x-y,z'
loop_
_atom_site_label
_atom_site_type_symbol
_atom_site_fract_x
_atom_site_fract_y
_atom_site_fract_z
Te1 Te 0.0000 0.0000 0.0000
Te2 Te 0.0000 0.0000 0.0984
W1 W 0.0000 0.0000 0.2394
W2 W 0.0000 0.0000 0.8615
W3 W 0.6667 0.3333 0.0492
W4 W 0.6667 0.3333 0.6743
Se1 Se 0.6667 0.3333 0.1961
Se2 Se 0.6667 0.3333 0.2825
S1 S 0.0000 0.0000 0.6350
S2 S 0.0000 0.0000 0.7135
S3 S 0.6667 0.3333 0.8222
S4 S 0.6667 0.3333 0.9007
```



Starting from a structure optimized by DFT (GGA-PBE), the powder diffraction line list of TeW2Se2S was simulated for λ = 1.5418 Å (Cu Kα).
Kinematic intensities with the Lorentz-polarization factor, no thermal factor.

Largest 6 diffraction maxima, in order of falling intensity, 10 to 80 degrees two-theta:
d_spacing  Position (°2θ)  I (rel.)  hkl
7.620  11.61  100  0 0 5
2.474  36.32  72  1 0 8
2.059  43.97  40  0 1 13
2.893  30.91  32  1 0 0
1.671  54.95  23  1 1 0
6.350  13.95  22  0 0 6

Structural model:
```
data_TeW2Se2S
_chemical_formula_sum 'Te2 W4 Se4 S2'
_cell_length_a 3.3423
_cell_length_b 3.3423
_cell_length_c 38.0995
_cell_angle_alpha 90.00
_cell_angle_beta 90.00
_cell_angle_gamma 120.00
_space_group_name_H-M_alt 'P 3 m 1'
_space_group_IT_number 156
loop_
_space_group_symop_operation_xyz
'x,y,z'
'-y,x-y,z'
'-x+y,-x,z'
'-y,-x,z'
'-x+y,y,z'
'x,x-y,z'
loop_
_atom_site_label
_atom_site_type_symbol
_atom_site_fract_x
_atom_site_fract_y
_atom_site_fract_z
Te1 Te 0.0000 0.0000 0.0000
Te2 Te 0.0000 0.0000 0.1001
W1 W 0.0000 0.0000 0.4864
W2 W 0.0000 0.0000 0.8622
W3 W 0.3333 0.6667 0.0501
W4 W 0.3333 0.6667 0.6743
Se1 Se 0.0000 0.0000 0.6304
Se2 Se 0.0000 0.0000 0.7182
Se3 Se 0.3333 0.6667 0.4425
Se4 Se 0.3333 0.6667 0.5303
S1 S 0.3333 0.6667 0.8222
S2 S 0.3333 0.6667 0.9021
```



Starting from a structure optimized by DFT (GGA-PBE), the powder diffraction line list of TeW2Se2S was simulated for λ = 1.5418 Å (Cu Kα).
Kinematic intensities with the Lorentz-polarization factor, no thermal factor.

Largest 6 diffraction maxima, in order of falling intensity, 10 to 80 degrees two-theta:
d_spacing  Position (°2θ)  I (rel.)  hkl
7.638  11.59  100  0 0 5
2.475  36.29  73  1 0 8
2.062  43.91  41  0 1 13
2.893  30.90  35  1 0 0
1.671  54.94  25  1 1 0
6.365  13.91  19  0 0 6

Structural model:
```
data_TeW2Se2S
_chemical_formula_sum 'Te2 W4 Se4 S2'
_cell_length_a 3.3430
_cell_length_b 3.3430
_cell_length_c 38.1916
_cell_angle_alpha 90.00
_cell_angle_beta 90.00
_cell_angle_gamma 120.00
_space_group_name_H-M_alt 'P 3 m 1'
_space_group_IT_number 156
loop_
_space_group_symop_operation_xyz
'x,y,z'
'-y,x-y,z'
'-x+y,-x,z'
'-y,-x,z'
'-x+y,y,z'
'x,x-y,z'
loop_
_atom_site_label
_atom_site_type_symbol
_atom_site_fract_x
_atom_site_fract_y
_atom_site_fract_z
Te1 Te 0.0000 0.0000 0.0000
Te2 Te 0.0000 0.0000 0.0999
W1 W 0.0000 0.0000 0.2379
W2 W 0.0000 0.0000 0.8621
W3 W 0.6667 0.3333 0.0500
W4 W 0.6667 0.3333 0.6742
Se1 Se 0.0000 0.0000 0.6303
Se2 Se 0.0000 0.0000 0.7182
Se3 Se 0.6667 0.3333 0.1940
Se4 Se 0.6667 0.3333 0.2818
S1 S 0.6667 0.3333 0.8223
S2 S 0.6667 0.3333 0.9020
```



Starting from a structure optimized by DFT (GGA-PBE), the powder diffraction line list of TeW2SeS2 was simulated for λ = 1.5418 Å (Cu Kα).
Kinematic intensities with the Lorentz-polarization factor, no thermal factor.

Largest 6 diffraction maxima, in order of falling intensity, 10 to 80 degrees two-theta:
d_spacing  Position (°2θ)  I (rel.)  hkl
7.526  11.76  100  0 0 5
2.446  36.74  70  1 0 8
2.036  44.51  35  0 1 13
2.862  31.25  29  1 0 0
6.272  14.12  25  0 0 6
1.653  55.60  20  1 1 0

Structural model:
```
data_TeW2SeS2
_chemical_formula_sum 'Te2 W4 Se2 S4'
_cell_length_a 3.3065
_cell_length_b 3.3065
_cell_length_c 37.6290
_cell_angle_alpha 90.00
_cell_angle_beta 90.00
_cell_angle_gamma 120.00
_space_group_name_H-M_alt 'P 3 m 1'
_space_group_IT_number 156
loop_
_space_group_symop_operation_xyz
'x,y,z'
'-y,x-y,z'
'-x+y,-x,z'
'-y,-x,z'
'-x+y,y,z'
'x,x-y,z'
loop_
_atom_site_label
_atom_site_type_symbol
_atom_site_fract_x
_atom_site_fract_y
_atom_site_fract_z
Te1 Te 0.0000 0.0000 0.0000
Te2 Te 0.0000 0.0000 0.1022
W1 W 0.0000 0.0000 0.4875
W2 W 0.0000 0.0000 0.8632
W3 W 0.3333 0.6667 0.0511
W4 W 0.3333 0.6667 0.6753
Se1 Se 0.3333 0.6667 0.4426
Se2 Se 0.3333 0.6667 0.5323
S1 S 0.0000 0.0000 0.6346
S2 S 0.0000 0.0000 0.7161
S3 S 0.3333 0.6667 0.8224
S4 S 0.3333 0.6667 0.9039
```